No. 1
Ce6Hg3Au: computed powder diffraction line list (CuKα), based on the PBE geometry in Alexandria.
Lines closer than 0.1° are merged.

Structure:
a = 10.139 Å, b = 6.802 Å, c = 8.314 Å
α = 90.00°, β = 104.49°, γ = 90.00°
Space group C2/m (No. 12)
One atom of each set of equivalent atoms:
Ce: 0.146 0.000 0.410 [4 per cell]
Ce: 0.148 0.298 0.848 [8 per cell]
Hg: 0.000 0.500 0.500 [2 per cell]
Hg: 0.145 0.500 0.226 [4 per cell]
Au: 0.000 0.000 0.000 [2 per cell]

Most intense lines, 2θ = 10–90°, most intense first:
d [Å]	2θ/deg	intensity	h k l
2.566	34.97	100	1 1 -3
2.766	32.37	91	2 2 -1
2.790	32.08	73	2 0 2
2.995	29.83	56	3 1 -1
2.587	34.68	50	3 1 1
2.684	33.38	49	0 0 3
2.531	35.46	43	2 2 1
2.376	37.86	39	4 0 -2
2.467	36.43	33	2 2 -2
1.512	61.33	31	5 3 -1

***

No. 2
Er3Al12Os4: computed powder diffraction line list (CuKα), based on the PBE geometry in Alexandria.
Lines closer than 0.1° are merged.

Structure:
a = 8.7829 Å, b = 8.7829 Å, c = 9.5854 Å
α = 90.00°, β = 90.00°, γ = 120.00°
Space group P6_3/mmc (No. 194)
One atom of each set of equivalent atoms:
Er: 0.1944 0.3887 0.2500 [6 per cell]
Al: 0.0000 0.0000 0.2500 [2 per cell]
Al: 0.1234 0.5617 0.7500 [6 per cell]
Al: 0.1635 0.3271 0.5759 [12 per cell]
Al: 0.3333 0.6667 0.0200 [4 per cell]
Os: 0.0000 0.0000 0.0000 [2 per cell]
Os: 0.0000 0.5000 0.0000 [6 per cell]

Most intense lines, 2θ = 10–90°, most intense first:
d [Å]	2θ/deg	intensity	h k l
2.979	29.99	100	2 0 2
2.196	41.11	54	2 2 0
2.448	36.71	38	2 0 3
3.803	23.39	31	2 0 0
1.619	56.88	29	2 2 4
2.396	37.53	24	0 0 4
3.535	25.19	22	2 0 1
1.768	51.72	19	4 0 2
1.377	68.10	19	4 2 2
1.473	63.12	18	2 0 6

***

No. 3
Na6InBi2: computed powder diffraction line list (CuKα), based on the PBE geometry in Alexandria.
Lines closer than 0.1° are merged.

Structure:
a = 5.4075 Å, b = 5.4075 Å, c = 33.7676 Å
α = 90.00°, β = 90.00°, γ = 120.00°
Space group R-3m (No. 166, hexagonal axes)
One atom of each set of equivalent atoms:
Na: 0.0000 0.0000 0.0855 [6 per cell]
Na: 0.0000 0.0000 0.2049 [6 per cell]
Na: 0.0000 0.0000 0.3066 [6 per cell]
In: 0.0000 0.0000 0.5000 [3 per cell]
Bi: 0.0000 0.0000 0.4048 [6 per cell]

Most intense lines, 2θ = 10–90°, most intense first:
d [Å]	2θ/deg	intensity	h k l
4.639	19.13	100	1 0 1
2.704	33.13	69	1 1 0
2.739	32.70	62	1 0 10
2.567	34.95	33	0 1 11
1.924	47.24	27	0 2 10
1.568	58.91	26	2 1 10
4.513	19.67	24	0 1 2
3.848	23.11	22	0 1 5
5.628	15.75	21	0 0 6
2.194	41.15	19	1 1 9

***

No. 4
Y4TlGaO: computed powder diffraction line list (CuKα), based on the PBE geometry in Alexandria.
Lines closer than 0.1° are merged.

Structure:
a = 6.495 Å, b = 16.245 Å, c = 6.509 Å
α = 90.00°, β = 90.00°, γ = 90.00°
Space group Cmcm (No. 63)
One atom of each set of equivalent atoms:
Y: 0.000 0.068 0.250 [4 per cell]
Y: 0.000 0.418 0.250 [4 per cell]
Y: 0.250 0.250 0.000 [8 per cell]
Tl: 0.000 0.391 0.750 [4 per cell]
Ga: 0.000 0.117 0.750 [4 per cell]
O: 0.000 0.262 0.250 [4 per cell]

Most intense lines, 2θ = 10–90°, most intense first:
d [Å]	2θ/deg	intensity	h k l
2.538	35.37	100	2 4 0
3.018	29.60	73	2 2 0
2.299	39.19	70	2 0 2
3.251	27.43	36	2 0 0
1.752	52.20	35	2 6 2
2.708	33.09	33	0 6 0
1.369	68.55	29	4 4 2
2.653	33.78	27	1 5 1
1.453	64.06	18	2 10 0
1.738	52.67	17	3 5 1

***

No. 5
CuAg3: computed powder diffraction line list (CuKα), based on the PBE geometry in Alexandria.
Lines closer than 0.1° are merged.

Structure:
a = 2.868 Å, b = 4.676 Å, c = 4.970 Å
α = 90.00°, β = 90.00°, γ = 90.00°
Space group Pmm2 (No. 25)
One atom of each set of equivalent atoms:
Cu: 0.000 0.000 0.000 [1 per cell]
Ag: 0.000 0.500 0.672 [1 per cell]
Ag: 0.500 0.000 0.498 [1 per cell]
Ag: 0.500 0.500 0.160 [1 per cell]

Most intense lines, 2θ = 10–90°, most intense first:
d [Å]	2θ/deg	intensity	h k l
2.194	41.14	100	1 1 1
2.338	38.51	27	0 2 0
2.484	36.16	25	1 0 1
1.223	78.18	18	2 2 0
1.320	71.45	18	1 3 1
1.434	65.02	16	2 0 0
1.703	53.85	15	1 2 1
1.201	79.90	13	2 1 2
1.097	89.30	4	0 2 4
1.169	82.53	3	0 4 0

***

No. 6
Ac3GeCl2O6: computed powder diffraction line list (CuKα), based on the PBE geometry in Alexandria.
Lines closer than 0.1° are merged.

Structure:
a = 11.957 Å, b = 7.158 Å, c = 5.778 Å
α = 90.00°, β = 96.18°, γ = 90.00°
Space group C2/m (No. 12)
One atom of each set of equivalent atoms:
Ac: 0.000 0.000 0.000 [2 per cell]
Ac: 0.250 0.250 0.500 [4 per cell]
Ge: 0.000 0.500 0.500 [2 per cell]
Cl: 0.231 0.000 0.900 [4 per cell]
O: 0.051 0.259 0.306 [8 per cell]
O: 0.142 0.500 0.646 [4 per cell]

Most intense lines, 2θ = 10–90°, most intense first:
d [Å]	2θ/deg	intensity	h k l
3.038	29.40	100	0 2 1
3.066	29.13	88	2 2 0
4.373	20.31	75	2 0 -1
2.187	41.29	73	4 0 -2
2.972	30.07	71	4 0 0
2.157	41.89	59	2 2 -2
4.081	21.78	59	1 1 1
3.925	22.66	58	2 0 1
2.872	31.14	50	0 0 2
4.314	20.59	50	1 1 -1